Diffraction record for LiP2WO8. The powder diffractogram is calculated, not measured: it uses a GGA+U-relaxed structure and CuKα.
Peak positions follow from Bragg's law for the DFT cell and can differ from measured ones.

Most intense lines, 2θ from 15° to 90°, in order of rising 2θ:
19.85°, rel. 55; 21.97°, rel. 20; 24.09°, rel. 100; 24.45°, rel. 56; 31.67°, rel. 38; 33.19°, rel. 36; 33.38°, rel. 21; 37.31°, rel. 25; 38.56°, rel. 21; 42.41°, rel. 17

Crystal structure
Unit cell a=4.8678 b=4.8678 c=7.0391 alpha=94.05 beta=94.05 gamma=66.93
Atoms (fractional coordinates):
Li: 0.0000 0.0000 0.0000
P: 0.3386 0.3386 0.2709
P: 0.6614 0.6614 0.7291
W: 0.0000 0.0000 0.5000
O: 0.2181 0.6906 0.2978
O: 0.2352 0.2352 0.4518
O: 0.2366 0.2366 0.0867
O: 0.3094 0.7819 0.7022
O: 0.6906 0.2181 0.2978
O: 0.7634 0.7634 0.9133
O: 0.7648 0.7648 0.5482
O: 0.7819 0.3094 0.7022

***

Diffraction record for Li9Mn7O16. The powder diffractogram is calculated, not measured: it uses a GGA+U-relaxed structure and CuKα.
Peak positions follow from Bragg's law for the DFT cell and can differ from measured ones.

Most intense lines, 2θ from 15° to 90°, in order of rising 2θ:
18.27°, rel. 100; 33.70°, rel. 19; 36.13°, rel. 24; 40.60°, rel. 35; 44.11°, rel. 55; 46.79°, rel. 10; 58.16°, rel. 9; 61.15°, rel. 17; 61.84°, rel. 16; 64.74°, rel. 8

Crystal structure
Unit cell a=10.5511 b=10.5511 c=10.7150 alpha=111.46 beta=111.46 gamma=15.69
Atoms (fractional coordinates):
Li: 0.0000 0.0000 0.0000
Li: 0.1209 0.1209 0.9367
Li: 0.1234 0.1234 0.4323
Li: 0.3729 0.3729 0.3061
Li: 0.3779 0.3779 0.8187
Li: 0.6221 0.6221 0.1813
Li: 0.6271 0.6271 0.6939
Li: 0.8766 0.8766 0.5677
Li: 0.8791 0.8791 0.0633
Mn: 0.0000 0.0000 0.5000
Mn: 0.2500 0.2500 0.3750
Mn: 0.2519 0.2519 0.8768
Mn: 0.4966 0.4966 0.2355
Mn: 0.5034 0.5034 0.7645
Mn: 0.7481 0.7481 0.1232
Mn: 0.7500 0.7500 0.6250
O: 0.0562 0.0562 0.2233
O: 0.0567 0.0567 0.7233
O: 0.1899 0.1899 0.1479
O: 0.1908 0.1908 0.6472
O: 0.3069 0.3069 0.1027
O: 0.3083 0.3083 0.6021
O: 0.4443 0.4443 0.0568
O: 0.4470 0.4470 0.5423
O: 0.5530 0.5530 0.4577
O: 0.5557 0.5557 0.9432
O: 0.6917 0.6917 0.3979
O: 0.6931 0.6931 0.8973
O: 0.8092 0.8092 0.3528
O: 0.8101 0.8101 0.8521
O: 0.9433 0.9433 0.2767
O: 0.9438 0.9438 0.7767

***

Diffraction record for Sr2PrVO6. The powder diffractogram is calculated, not measured: it uses a GGA+U-relaxed structure and CuKα.
Peak positions follow from Bragg's law for the DFT cell and can differ from measured ones.

Most intense lines, 2θ from 15° to 90°, in order of rising 2θ:
18.25°, rel. 10; 30.03°, rel. 100; 35.37°, rel. 10; 42.98°, rel. 34; 47.06°, rel. 7; 53.32°, rel. 39; 62.41°, rel. 20; 70.79°, rel. 18; 78.77°, rel. 6; 86.53°, rel. 21

Crystal structure
Unit cell a=5.9522 b=5.9522 c=5.9522 alpha=60.00 beta=60.00 gamma=60.00
Atoms (fractional coordinates):
Sr: 0.2500 0.2500 0.2500
Sr: 0.7500 0.7500 0.7500
Pr: 0.0000 0.0000 0.0000
V: 0.5000 0.5000 0.5000
O: 0.2742 0.2742 0.7258
O: 0.2742 0.7258 0.2742
O: 0.2742 0.7258 0.7258
O: 0.7258 0.2742 0.2742
O: 0.7258 0.2742 0.7258
O: 0.7258 0.7258 0.2742

***

Diffraction record for Li3TiCr3O8. The powder diffractogram is calculated, not measured: it uses a GGA+U-relaxed structure and CuKα.
Peak positions follow from Bragg's law for the DFT cell and can differ from measured ones.

Most intense lines, 2θ from 15° to 90°, in order of rising 2θ:
18.05°, rel. 100; 35.32°, rel. 12; 35.69°, rel. 24; 37.15°, rel. 8; 42.58°, rel. 24; 43.20°, rel. 46; 56.81°, rel. 9; 61.88°, rel. 12; 62.66°, rel. 13; 79.16°, rel. 8

Crystal structure
Unit cell a=5.9309 b=5.9309 c=5.9596 alpha=119.40 beta=119.40 gamma=59.53
Atoms (fractional coordinates):
Li: 0.0000 0.0000 0.0000
Li: 0.9998 0.5002 0.0001
Li: 0.4998 0.0002 0.9999
Ti: 0.4993 0.5007 0.5000
Cr: 0.9998 0.4987 0.4995
Cr: 0.5013 0.0002 0.5005
Cr: 0.9988 0.0012 0.5000
O: 0.2356 0.2334 0.7159
O: 0.2421 0.7377 0.7158
O: 0.2623 0.2620 0.2744
O: 0.2623 0.7579 0.2842
O: 0.7374 0.2446 0.7174
O: 0.7380 0.7377 0.7256
O: 0.7554 0.2626 0.2826
O: 0.7666 0.7644 0.2841

***

Diffraction record for Li3CoSiO5. The powder diffractogram is calculated, not measured: it uses a GGA+U-relaxed structure and CuKα.
Peak positions follow from Bragg's law for the DFT cell and can differ from measured ones.

Most intense lines, 2θ from 15° to 90°, in order of rising 2θ:
18.78°, rel. 42; 19.74°, rel. 100; 24.72°, rel. 79; 26.77°, rel. 28; 32.67°, rel. 36; 32.81°, rel. 62; 36.28°, rel. 56; 37.63°, rel. 39; 58.39°, rel. 36; 66.15°, rel. 29

Crystal structure
Unit cell a=5.4823 b=15.7372 c=4.9528 alpha=90.00 beta=90.00 gamma=90.00
Atoms (fractional coordinates):
Li: 0.1633 0.0049 0.0000
Li: 0.1682 0.5932 0.9973
Li: 0.1702 0.1962 0.0037
Li: 0.3298 0.6962 0.5037
Li: 0.3318 0.0932 0.4973
Li: 0.3367 0.5049 0.5000
Li: 0.6633 0.4951 0.0000
Li: 0.6682 0.9068 0.9973
Li: 0.6702 0.3038 0.0037
Li: 0.8298 0.8038 0.5037
Li: 0.8318 0.4068 0.4973
Li: 0.8367 0.9951 0.5000
Co: 0.1775 0.8004 0.9985
Co: 0.3225 0.3004 0.4985
Co: 0.6775 0.6996 0.9985
Co: 0.8225 0.1996 0.4985
Si: 0.1625 0.4018 0.0062
Si: 0.3375 0.9018 0.5062
Si: 0.6625 0.0982 0.0062
Si: 0.8375 0.5982 0.5062
O: 0.1211 0.6017 0.6009
O: 0.1503 0.2023 0.5908
O: 0.1741 0.3942 0.6662
O: 0.1859 0.9850 0.6023
O: 0.1929 0.8125 0.6150
O: 0.3071 0.3125 0.1150
O: 0.3141 0.4850 0.1023
O: 0.3259 0.8942 0.1662
O: 0.3497 0.7023 0.0908
O: 0.3789 0.1017 0.1009
O: 0.6211 0.8983 0.6009
O: 0.6503 0.2977 0.5908
O: 0.6741 0.1058 0.6662
O: 0.6859 0.5150 0.6023
O: 0.6929 0.6875 0.6150
O: 0.8071 0.1875 0.1150
O: 0.8141 0.0150 0.1023
O: 0.8259 0.6058 0.1662
O: 0.8497 0.7977 0.0908
O: 0.8789 0.3983 0.1009

***

Diffraction record for LiVF4. The powder diffractogram is calculated, not measured: it uses a GGA+U-relaxed structure and CuKα.
Peak positions follow from Bragg's law for the DFT cell and can differ from measured ones.

Most intense lines, 2θ from 15° to 90°, in order of rising 2θ:
15.17°, rel. 43; 23.53°, rel. 46; 27.55°, rel. 100; 30.08°, rel. 35; 40.89°, rel. 59; 41.38°, rel. 28; 47.78°, rel. 24; 54.06°, rel. 43; 54.45°, rel. 23; 64.81°, rel. 22

Crystal structure
Unit cell a=4.5937 b=11.6820 c=4.9588 alpha=90.00 beta=90.00 gamma=90.00
Atoms (fractional coordinates):
Li: 0.0000 0.0541 0.2500
Li: 0.0000 0.9459 0.7500
Li: 0.5000 0.4459 0.7500
Li: 0.5000 0.5541 0.2500
V: 0.0000 0.3209 0.2500
V: 0.0000 0.6791 0.7500
V: 0.5000 0.1791 0.7500
V: 0.5000 0.8209 0.2500
F: 0.2290 0.1924 0.0785
F: 0.2290 0.8076 0.5785
F: 0.2499 0.0678 0.5847
F: 0.2501 0.4322 0.0847
F: 0.2501 0.5678 0.5847
F: 0.2499 0.9322 0.0847
F: 0.2710 0.3076 0.5785
F: 0.2710 0.6924 0.0785
F: 0.7290 0.3076 0.9215
F: 0.7290 0.6924 0.4215
F: 0.7501 0.0678 0.9153
F: 0.7499 0.4322 0.4153
F: 0.7499 0.5678 0.9153
F: 0.7501 0.9322 0.4153
F: 0.7710 0.1924 0.4215
F: 0.7710 0.8076 0.9215

***

Diffraction record for LiVF4. The powder diffractogram is calculated, not measured: it uses a GGA+U-relaxed structure and CuKα.
Peak positions follow from Bragg's law for the DFT cell and can differ from measured ones.

Most intense lines, 2θ from 15° to 90°, in order of rising 2θ:
19.97°, rel. 100; 31.14°, rel. 72; 32.42°, rel. 10; 41.64°, rel. 26; 44.58°, rel. 19; 49.31°, rel. 29; 52.01°, rel. 92; 61.77°, rel. 10; 61.92°, rel. 19; 62.64°, rel. 15

Crystal structure
Unit cell a=6.0978 b=6.0978 c=6.0978 alpha=131.91 beta=131.91 gamma=70.37
Atoms (fractional coordinates):
Li: 0.3750 0.1250 0.2500
Li: 0.6250 0.8750 0.7500
V: 0.1250 0.3750 0.7500
V: 0.8750 0.6250 0.2500
F: 0.0695 0.7550 0.7672
F: 0.1977 0.4305 0.1855
F: 0.2550 0.9878 0.6855
F: 0.4878 0.3023 0.7328
F: 0.5122 0.6977 0.2672
F: 0.7450 0.0122 0.3145
F: 0.8023 0.5695 0.8145
F: 0.9305 0.2450 0.2328

***

Diffraction record for Li6NiO4. The powder diffractogram is calculated, not measured: it uses a GGA+U-relaxed structure and CuKα.
Peak positions follow from Bragg's law for the DFT cell and can differ from measured ones.

Most intense lines, 2θ from 15° to 90°, in order of rising 2θ:
19.02°, rel. 41; 23.35°, rel. 100; 27.02°, rel. 24; 33.26°, rel. 35; 36.01°, rel. 49; 43.36°, rel. 28; 45.59°, rel. 25; 55.72°, rel. 54; 61.22°, rel. 15; 68.16°, rel. 14

Crystal structure
Unit cell a=6.5987 b=4.6654 c=6.6006 alpha=90.00 beta=90.04 gamma=90.00
Atoms (fractional coordinates):
Li: 0.0000 0.0000 0.0000
Li: 0.0000 0.4998 0.0000
Li: 0.2174 0.0535 0.7199
Li: 0.2167 0.0537 0.2810
Li: 0.2800 0.5534 0.2179
Li: 0.2814 0.5532 0.7834
Li: 0.5000 0.1017 0.5000
Li: 0.5000 0.6017 0.5000
Li: 0.7186 0.5532 0.2166
Li: 0.7200 0.5534 0.7821
Li: 0.7826 0.0535 0.2801
Li: 0.7833 0.0537 0.7190
Ni: 0.0000 0.5611 0.5000
Ni: 0.5000 0.0600 0.0000
O: 0.0006 0.7617 0.7664
O: 0.2335 0.2613 0.0006
O: 0.2610 0.3396 0.5006
O: 0.4995 0.8393 0.2611
O: 0.5005 0.8393 0.7389
O: 0.7390 0.3396 0.4994
O: 0.7665 0.2613 0.9994
O: 0.9994 0.7617 0.2336

***

Q: What is the formula in the seventh record?
A: LiVF4